Simulated X-ray powder pattern
Compound: CaAl20Cr2
Radiation: a wavelength of 1.5418 Å
Structure: a crystal structure in the Materials Project, relaxed with GGA-PBE

Structure:
```
CaAl20Cr2
1.0
0.0000 7.2226 7.2226
7.2226 0.0000 7.2226
7.2226 7.2226 0.0000
Ca Al Cr
2 40 4
direct
0.1250 0.1250 0.1250
0.8750 0.8750 0.8750
0.0000 0.0000 0.0000
0.0000 0.0000 0.5000
0.0000 0.5000 0.0000
0.0565 0.3259 0.3259
0.0565 0.3259 0.7917
0.0565 0.7917 0.3259
0.2083 0.6741 0.6741
0.2083 0.6741 0.9435
0.2083 0.9435 0.6741
0.2375 0.2375 0.5125
0.2375 0.5125 0.2375
0.2375 0.5125 0.5125
0.3259 0.0565 0.3259
0.3259 0.0565 0.7917
0.3259 0.3259 0.0565
0.3259 0.3259 0.7917
0.3259 0.7917 0.0565
0.3259 0.7917 0.3259
0.4875 0.4875 0.7625
0.4875 0.7625 0.4875
0.4875 0.7625 0.7625
0.5000 0.0000 0.0000
0.5125 0.2375 0.2375
0.5125 0.2375 0.5125
0.5125 0.5125 0.2375
0.6741 0.2083 0.6741
0.6741 0.2083 0.9435
0.6741 0.6741 0.2083
0.6741 0.6741 0.9435
0.6741 0.9435 0.2083
0.6741 0.9435 0.6741
0.7625 0.4875 0.4875
0.7625 0.4875 0.7625
0.7625 0.7625 0.4875
0.7917 0.0565 0.3259
0.7917 0.3259 0.0565
0.7917 0.3259 0.3259
0.9435 0.2083 0.6741
0.9435 0.6741 0.2083
0.9435 0.6741 0.6741
0.0000 0.5000 0.5000
0.5000 0.0000 0.5000
0.5000 0.5000 0.0000
0.5000 0.5000 0.5000
```

Principal peaks in the range 10° ≤ 2θ ≤ 90°, most intense first:
Position (°2θ), intensity
41.5, 100
41.0, 78
36.8, 51
74.3, 42
44.8, 40
10.6, 33
39.5, 32
43.4, 29
35.1, 24
67.4, 24

---

Simulated X-ray powder pattern
Compound: OsN2
Radiation: a wavelength of 1.5418 Å
Structure: a crystal structure in the Materials Project, relaxed with GGA-PBE

Structure:
```
OsN2
1.0
3.0345 0.0000 0.0000
-1.5173 2.6280 0.0000
0.0000 0.0000 7.4326
Os N
2 4
direct
0.3333 0.6667 0.2500
0.6667 0.3333 0.7500
0.0000 0.0000 0.0880
0.0000 0.0000 0.4120
0.0000 0.0000 0.5880
0.0000 0.0000 0.9120
```

Principal peaks in the range 10° ≤ 2θ ≤ 90°, most intense first:
Position (°2θ), intensity
36.3, 100
23.9, 55
50.6, 39
61.1, 28
42.1, 28
73.1, 27
66.6, 21
82.0, 12
34.1, 10
83.2, 10

---

Simulated X-ray powder pattern
Compound: Ca2Bi2O5
Radiation: a wavelength of 1.5418 Å
Structure: a crystal structure in the Materials Project, relaxed with GGA-PBE

Structure:
```
Ca2Bi2O5
1.0
10.2361 0.0000 0.0000
-0.6686 10.2619 0.0000
-4.8347 -3.4878 8.8408
Ca Bi O
12 12 30
direct
0.0208 0.4423 0.3375
0.0707 0.6684 0.1600
0.1537 0.9074 0.9756
0.2984 0.2845 0.1830
0.3934 0.6521 0.4842
0.3982 0.8397 0.8537
0.6018 0.1603 0.1463
0.6066 0.3479 0.5158
0.7016 0.7155 0.8170
0.8463 0.0926 0.0244
0.9293 0.3316 0.8400
0.9792 0.5577 0.6625
0.0735 0.8117 0.5344
0.1926 0.0752 0.3329
0.2514 0.1635 0.8212
0.2935 0.5589 0.0131
0.3497 0.4239 0.6471
0.4778 0.9275 0.3038
0.5222 0.0725 0.6962
0.6503 0.5761 0.3529
0.7065 0.4411 0.9869
0.7486 0.8365 0.1788
0.8074 0.9248 0.6671
0.9265 0.1883 0.4656
0.0221 0.0557 0.7052
0.0708 0.5847 0.9225
0.1030 0.1212 0.1368
0.1183 0.4199 0.5768
0.1375 0.7681 0.7385
0.1524 0.6696 0.4053
0.1931 0.3380 0.9644
0.2198 0.8812 0.2164
0.3072 0.9610 0.6823
0.3259 0.4034 0.4325
0.3315 0.0883 0.9994
0.3330 0.6077 0.2351
0.3959 0.8226 0.0687
0.4298 0.1330 0.3479
0.4418 0.6392 0.7255
0.5582 0.3608 0.2745
0.5702 0.8670 0.6521
0.6041 0.1774 0.9313
0.6670 0.3923 0.7649
0.6685 0.9117 0.0006
0.6741 0.5966 0.5675
0.6928 0.0390 0.3177
0.7802 0.1188 0.7836
0.8069 0.6620 0.0356
0.8476 0.3304 0.5947
0.8625 0.2319 0.2615
0.8817 0.5801 0.4232
0.8970 0.8788 0.8632
0.9292 0.4153 0.0775
0.9779 0.9443 0.2948
```

Principal peaks in the range 10° ≤ 2θ ≤ 90°, most intense first:
Position (°2θ), intensity
28.5, 100
29.3, 95
29.2, 79
29.5, 73
30.6, 59
31.4, 58
18.8, 40
10.9, 40
21.0, 39
44.0, 34

---

Simulated X-ray powder pattern
Compound: UInPt2
Radiation: a wavelength of 1.5418 Å
Structure: a crystal structure in the Materials Project, relaxed with GGA-PBE

Structure:
```
UInPt2
1.0
4.7542 0.0000 0.0000
-2.3771 4.1173 0.0000
0.0000 0.0000 8.5996
U In Pt
2 2 4
direct
0.0000 0.0000 0.0000
0.0000 0.0000 0.5000
0.3333 0.6667 0.2500
0.6667 0.3333 0.7500
0.3333 0.6667 0.5945
0.3333 0.6667 0.9055
0.6667 0.3333 0.0945
0.6667 0.3333 0.4055
```

Principal peaks in the range 10° ≤ 2θ ≤ 90°, most intense first:
Position (°2θ), intensity
37.8, 100
38.3, 66
30.0, 32
68.6, 24
54.9, 23
47.7, 19
20.7, 18
68.3, 18
43.5, 17
69.4, 14